Simulated powder X-ray diffraction pattern of TaTl4S4 for copper Kα, from a structure optimized by DFT (PBE).
Kinematic intensities with the Lorentz-polarization factor, no thermal factor.

Structural model:
```
data_TaTl4S4
_chemical_formula_sum 'Ta2 Tl8 S8'
_cell_length_a 8.349
_cell_length_b 8.349
_cell_length_c 8.401
_cell_angle_alpha 90.00
_cell_angle_beta 90.00
_cell_angle_gamma 90.00
_space_group_name_H-M_alt 'P 42/n m c'
_space_group_IT_number 137
loop_
_space_group_symop_operation_xyz
'x,y,z'
'-x,-y,-z'
'-y+1/2,x,z+1/2'
'y+1/2,-x,-z+1/2'
'-x+1/2,-y+1/2,z'
'x+1/2,y+1/2,-z'
'y,-x+1/2,z+1/2'
'-y,x+1/2,-z+1/2'
'x+1/2,-y,-z'
'-x+1/2,y,z'
'-y,-x,-z+1/2'
'y,x,z+1/2'
'-x,y+1/2,-z'
'x,-y+1/2,z'
'y+1/2,x+1/2,-z+1/2'
'-y+1/2,-x+1/2,z+1/2'
loop_
_atom_site_label
_atom_site_type_symbol
_atom_site_fract_x
_atom_site_fract_y
_atom_site_fract_z
Ta1 Ta 0.250 0.750 0.250
Tl1 Tl 0.008 0.750 0.620
S1 S 0.031 0.750 0.083
```

Principal peaks in the range 2θ = 5–70°, by angle:
2theta, intensity, (hkl)
23.8, 100, 2 0 1
26.1, 74, 2 1 1
30.3, 42, 2 2 0
32.1, 55, 2 1 2
38.8, 40, 3 0 2
43.4, 31, 4 0 0

---

Simulated powder X-ray diffraction pattern of Ta5TlS8 for copper Kα, from a structure optimized by DFT (PBE).
Kinematic intensities with the Lorentz-polarization factor, no thermal factor.

Structural model:
```
data_Ta5TlS8
_chemical_formula_sum 'Ta10 Tl2 S16'
_cell_length_a 17.831
_cell_length_b 3.305
_cell_length_c 9.388
_cell_angle_alpha 90.00
_cell_angle_beta 105.80
_cell_angle_gamma 90.00
_space_group_name_H-M_alt 'C 1 m 1'
_space_group_IT_number 8
loop_
_space_group_symop_operation_xyz
'x,y,z'
'x,-y,z'
'x+1/2,y+1/2,z'
'x+1/2,-y+1/2,z'
loop_
_atom_site_label
_atom_site_type_symbol
_atom_site_fract_x
_atom_site_fract_y
_atom_site_fract_z
Ta1 Ta 0.000 0.000 0.000
Ta2 Ta 0.037 0.000 0.371
Ta3 Ta 0.113 0.500 0.633
Ta4 Ta 0.150 0.500 0.004
Ta5 Ta 0.325 0.000 0.002
Tl1 Tl 0.325 0.500 0.502
S1 S 0.075 0.000 0.813
S2 S 0.075 0.500 0.191
S3 S 0.175 0.000 0.507
S4 S 0.238 0.000 0.170
S5 S 0.242 0.500 0.835
S6 S 0.408 0.500 0.170
S7 S 0.412 0.000 0.833
S8 S 0.475 0.000 0.498
```

Principal peaks in the range 2θ = 5–70°, by angle:
2theta, intensity, (hkl)
19.7, 88, 0 0 2
31.3, 51, 6 0 0
31.5, 55, 3 1 -1
34.1, 56, 3 1 1
40.4, 100, 3 1 -3
41.7, 46, 6 0 2

---

Simulated powder X-ray diffraction pattern of Ta2TlS5 for copper Kα, from a structure optimized by DFT (PBE).
Kinematic intensities with the Lorentz-polarization factor, no thermal factor.

Structural model:
```
data_Ta2TlS5
_chemical_formula_sum 'Ta4 Tl2 S10'
_cell_length_a 3.715
_cell_length_b 6.556
_cell_length_c 13.240
_cell_angle_alpha 90.00
_cell_angle_beta 90.00
_cell_angle_gamma 90.00
_space_group_name_H-M_alt 'I m m m'
_space_group_IT_number 71
_space_group_name_Hall '-I 2 2'
loop_
_atom_site_label
_atom_site_type_symbol
_atom_site_fract_x
_atom_site_fract_y
_atom_site_fract_z
Ta1 Ta 0.000 0.000 0.185
Tl1 Tl 0.000 0.500 0.000
S1 S 0.000 0.000 0.000
S2 S 0.000 0.236 0.338
```

Principal peaks in the range 2θ = 5–70°, by angle:
2theta, intensity, (hkl)
24.3, 100, 0 1 3
24.9, 36, 1 0 1
27.2, 33, 0 2 0
30.8, 79, 1 1 2
37.2, 55, 1 2 1
50.7, 41, 1 2 5

---

Simulated powder X-ray diffraction pattern of TaTl6VS8 for copper Kα, from a structure optimized by DFT (PBE).
Kinematic intensities with the Lorentz-polarization factor, no thermal factor.

Structural model:
```
data_TaTl6VS8
_chemical_formula_sum 'Ta1 Tl6 V1 S8'
_cell_length_a 7.733
_cell_length_b 7.733
_cell_length_c 7.733
_cell_angle_alpha 90.00
_cell_angle_beta 90.00
_cell_angle_gamma 90.00
_space_group_name_H-M_alt 'P -4 3 m'
_space_group_IT_number 215
_space_group_name_Hall 'P -4 2 3'
loop_
_atom_site_label
_atom_site_type_symbol
_atom_site_fract_x
_atom_site_fract_y
_atom_site_fract_z
Ta1 Ta 0.000 0.000 0.000
Tl1 Tl 0.000 0.000 0.500
Tl2 Tl 0.000 0.500 0.500
V1 V 0.500 0.500 0.500
S1 S 0.171 0.171 0.171
S2 S 0.338 0.338 0.662
```

Principal peaks in the range 2θ = 5–70°, by angle:
2theta, intensity, (hkl)
23.0, 90, 2 0 0
32.8, 100, 2 2 0
40.4, 34, 2 2 2
47.0, 14, 4 0 0
53.0, 52, 4 2 0
58.5, 35, 4 2 2

---

Simulated powder X-ray diffraction pattern of TmTaS4 for copper Kα, from a structure optimized by DFT (PBE).
Kinematic intensities with the Lorentz-polarization factor, no thermal factor.

Structural model:
```
data_TmTaS4
_chemical_formula_sum 'Tm2 Ta2 S8'
_cell_length_a 14.611
_cell_length_b 3.651
_cell_length_c 6.485
_cell_angle_alpha 90.00
_cell_angle_beta 116.24
_cell_angle_gamma 90.00
_space_group_name_H-M_alt 'C 1 2/m 1'
_space_group_IT_number 12
loop_
_space_group_symop_operation_xyz
'x,y,z'
'-x,-y,-z'
'-x,y,-z'
'x,-y,z'
'x+1/2,y+1/2,z'
'-x+1/2,-y+1/2,-z'
'-x+1/2,y+1/2,-z'
'x+1/2,-y+1/2,z'
loop_
_atom_site_label
_atom_site_type_symbol
_atom_site_fract_x
_atom_site_fract_y
_atom_site_fract_z
Tm1 Tm 0.000 0.000 0.000
Ta1 Ta 0.000 0.500 0.500
S1 S 0.109 0.000 0.463
S2 S 0.110 0.500 0.912
```

Principal peaks in the range 2θ = 5–70°, by angle:
2theta, intensity, (hkl)
13.5, 100, 2 0 0
28.0, 21, 1 1 -1
30.8, 25, 0 0 2
31.3, 49, 3 1 -1
39.1, 18, 2 0 2
39.5, 34, 5 1 -1

---

Simulated powder X-ray diffraction pattern of UTaS for copper Kα, from a structure optimized by DFT (PBE).
Kinematic intensities with the Lorentz-polarization factor, no thermal factor.

Structural model:
```
data_UTaS
_chemical_formula_sum 'U1 Ta1 S1'
_cell_length_a 3.059
_cell_length_b 6.712
_cell_length_c 3.107
_cell_angle_alpha 90.00
_cell_angle_beta 115.36
_cell_angle_gamma 90.00
_space_group_name_H-M_alt 'P 1 2 1'
_space_group_IT_number 3
loop_
_space_group_symop_operation_xyz
'x,y,z'
'-x,y,-z'
loop_
_atom_site_label
_atom_site_type_symbol
_atom_site_fract_x
_atom_site_fract_y
_atom_site_fract_z
U1 U 0.000 0.000 0.000
Ta1 Ta 0.500 0.626 0.500
S1 S 0.500 0.344 0.000
```

Principal peaks in the range 2θ = 5–70°, by angle:
2theta, intensity, (hkl)
13.2, 53, 0 1 0
26.6, 46, 0 2 0
34.4, 50, 1 0 -1
34.6, 95, 0 1 1
35.1, 100, 1 1 0
40.3, 38, 0 3 0

---

Simulated powder X-ray diffraction pattern of UTaS3 for copper Kα, from a structure optimized by DFT (PBE).
Kinematic intensities with the Lorentz-polarization factor, no thermal factor.

Structural model:
```
data_UTaS3
_chemical_formula_sum 'U4 Ta4 S12'
_cell_length_a 3.585
_cell_length_b 19.913
_cell_length_c 6.261
_cell_angle_alpha 90.00
_cell_angle_beta 90.00
_cell_angle_gamma 90.00
_space_group_name_H-M_alt 'C m c 21'
_space_group_IT_number 36
loop_
_space_group_symop_operation_xyz
'x,y,z'
'-x,-y,z+1/2'
'-x,y,z'
'x,-y,z+1/2'
'x+1/2,y+1/2,z'
'-x+1/2,-y+1/2,z+1/2'
'-x+1/2,y+1/2,z'
'x+1/2,-y+1/2,z+1/2'
loop_
_atom_site_label
_atom_site_type_symbol
_atom_site_fract_x
_atom_site_fract_y
_atom_site_fract_z
U1 U 0.000 0.162 0.000
Ta1 Ta 0.000 0.330 0.979
S1 S 0.000 0.094 0.353
S2 S 0.000 0.248 0.662
S3 S 0.000 0.409 0.293
```

Principal peaks in the range 2θ = 5–70°, by angle:
2theta, intensity, (hkl)
8.9, 100, 0 2 0
17.8, 26, 0 4 0
29.1, 64, 1 1 1
36.7, 50, 1 5 1
39.6, 28, 0 6 2
43.1, 32, 1 7 1

---

Simulated powder X-ray diffraction pattern of TaV4S8 for copper Kα, from a structure optimized by DFT (PBE).
Kinematic intensities with the Lorentz-polarization factor, no thermal factor.

Structural model:
```
data_TaV4S8
_chemical_formula_sum 'Ta3 V12 S24'
_cell_length_a 6.8154
_cell_length_b 6.8154
_cell_length_c 16.8653
_cell_angle_alpha 90.00
_cell_angle_beta 90.00
_cell_angle_gamma 120.00
_space_group_name_H-M_alt 'R -3 m'
_space_group_IT_number 166
_space_group_name_Hall '-R 3 2"'
loop_
_atom_site_label
_atom_site_type_symbol
_atom_site_fract_x
_atom_site_fract_y
_atom_site_fract_z
Ta1 Ta 0.0000 0.0000 0.0000
V1 V 0.0000 0.0000 0.5000
V2 V 0.0000 0.5000 0.5000
S1 S 0.0000 0.0000 0.2460
S2 S 0.0066 0.5033 0.2501
```

Principal peaks in the range 2θ = 5–70°, by angle:
2theta, intensity, (hkl)
15.9, 60, 1 0 1
18.3, 45, 0 1 2
30.7, 25, 1 1 3
37.2, 100, 0 2 4
53.4, 32, 2 0 8
53.8, 32, 2 2 0

---

Simulated powder X-ray diffraction pattern of Ta3VS6 for copper Kα, from a structure optimized by DFT (PBE).
Kinematic intensities with the Lorentz-polarization factor, no thermal factor.

Structural model:
```
data_Ta3VS6
_chemical_formula_sum 'Ta6 V2 S12'
_cell_length_a 5.7725
_cell_length_b 5.7725
_cell_length_c 12.2741
_cell_angle_alpha 90.00
_cell_angle_beta 90.00
_cell_angle_gamma 120.00
_space_group_name_H-M_alt 'P 63 2 2'
_space_group_IT_number 182
_space_group_name_Hall 'P 6c 2c'
loop_
_atom_site_label
_atom_site_type_symbol
_atom_site_fract_x
_atom_site_fract_y
_atom_site_fract_z
Ta1 Ta 0.0000 0.0000 0.0000
Ta2 Ta 0.3333 0.6667 0.0020
V1 V 0.3333 0.6667 0.7500
S1 S 0.0021 0.3336 0.6284
```

Principal peaks in the range 2θ = 5–70°, by angle:
2theta, intensity, (hkl)
14.4, 100, 0 0 2
31.0, 52, 1 1 0
34.3, 81, 1 1 2
43.0, 83, 1 1 4
55.1, 46, 3 0 0
57.3, 18, 3 0 2

---

Simulated powder X-ray diffraction pattern of TaV5S2 for copper Kα, from a structure optimized by DFT (PBE).
Kinematic intensities with the Lorentz-polarization factor, no thermal factor.

Structural model:
```
data_TaV5S2
_chemical_formula_sum 'Ta2 V10 S4'
_cell_length_a 3.122
_cell_length_b 6.193
_cell_length_c 11.524
_cell_angle_alpha 90.00
_cell_angle_beta 90.00
_cell_angle_gamma 90.00
_space_group_name_H-M_alt 'I m m m'
_space_group_IT_number 71
_space_group_name_Hall '-I 2 2'
loop_
_atom_site_label
_atom_site_type_symbol
_atom_site_fract_x
_atom_site_fract_y
_atom_site_fract_z
Ta1 Ta 0.000 0.000 0.000
V1 V 0.000 0.248 0.364
V2 V 0.000 0.500 0.000
S1 S 0.000 0.500 0.213
```

Principal peaks in the range 2θ = 5–70°, by angle:
2theta, intensity, (hkl)
15.4, 39, 0 0 2
16.2, 42, 0 1 1
35.8, 38, 1 1 2
37.1, 62, 1 0 3
41.8, 100, 1 2 1
42.9, 68, 0 2 4

---

Simulated powder X-ray diffraction pattern of YTa2S4 for copper Kα, from a structure optimized by DFT (PBE).
Kinematic intensities with the Lorentz-polarization factor, no thermal factor.

Structural model:
```
data_YTa2S4
_chemical_formula_sum 'Y1 Ta2 S4'
_cell_length_a 5.915
_cell_length_b 3.694
_cell_length_c 6.636
_cell_angle_alpha 90.00
_cell_angle_beta 107.53
_cell_angle_gamma 90.00
_space_group_name_H-M_alt 'P 1 2 1'
_space_group_IT_number 3
loop_
_space_group_symop_operation_xyz
'x,y,z'
'-x,y,-z'
loop_
_atom_site_label
_atom_site_type_symbol
_atom_site_fract_x
_atom_site_fract_y
_atom_site_fract_z
Y1 Y 0.000 0.000 0.000
Ta1 Ta 0.000 0.363 0.500
Ta2 Ta 0.500 0.023 0.500
S1 S 0.251 0.888 0.728
S2 S 0.261 0.496 0.271
```

Principal peaks in the range 2θ = 5–70°, by angle:
2theta, intensity, (hkl)
14.0, 100, 0 0 1
28.2, 24, 0 0 2
30.0, 31, 1 1 -1
34.3, 80, 1 1 1
35.7, 44, 2 0 -2
48.0, 29, 1 1 -3

---

Simulated powder X-ray diffraction pattern of Ta2ZnS4 for copper Kα, from a structure optimized by DFT (PBE).
Kinematic intensities with the Lorentz-polarization factor, no thermal factor.

Structural model:
```
data_Ta2ZnS4
_chemical_formula_sum 'Ta2 Zn1 S4'
_cell_length_a 3.4105
_cell_length_b 3.4105
_cell_length_c 12.8714
_cell_angle_alpha 90.00
_cell_angle_beta 90.00
_cell_angle_gamma 120.00
_space_group_name_H-M_alt 'P -3 m 1'
_space_group_IT_number 164
_space_group_name_Hall '-P 3 2"'
loop_
_atom_site_label
_atom_site_type_symbol
_atom_site_fract_x
_atom_site_fract_y
_atom_site_fract_z
Ta1 Ta 0.0000 0.0000 0.2438
Zn1 Zn 0.0000 0.0000 0.0000
S1 S 0.3333 0.6667 0.6379
S2 S 0.3333 0.6667 0.8787
```

Principal peaks in the range 2θ = 5–70°, by angle:
2theta, intensity, (hkl)
6.9, 39, 0 0 1
13.8, 90, 0 0 2
30.3, 64, 1 0 0
33.4, 60, 0 1 2
41.5, 100, 1 0 4
53.8, 30, 1 1 0